1.
Theoretical XRD peak list of Ba4Ta10CoO30 for λ = 1.5418 Å (Cu Kα), from the GGA+U geometry in Alexandria.

Structure:
```
Ba4Ta10CoO30
1.0
-3.940 5.162 7.656
3.940 -5.162 7.656
3.940 5.162 -7.656
Ba Ta Co O
4 10 1 30
Cartesian
0.000 0.000 0.000
3.940 0.000 6.053
0.000 0.000 6.192
0.000 5.162 7.444
1.957 1.915 -2.707
5.923 1.915 -2.707
1.964 0.000 2.983
5.916 0.000 2.983
1.967 3.266 1.088
1.973 -1.895 8.744
-1.983 3.246 4.949
1.983 3.246 4.949
1.967 7.057 1.088
1.973 1.895 8.744
0.000 5.162 3.342
3.940 -3.079 4.847
2.175 3.806 -3.254
1.765 -1.356 4.402
0.000 0.000 2.722
2.107 2.550 -0.901
5.773 2.550 -0.901
3.940 0.000 3.230
2.107 1.346 1.514
5.772 1.346 1.514
0.000 3.138 0.739
3.940 3.436 1.009
2.175 6.517 -3.254
1.765 1.356 4.402
1.871 5.162 0.353
2.068 0.000 8.010
1.686 3.775 2.938
2.253 -1.386 10.594
3.940 3.079 4.847
0.000 3.714 4.962
-1.833 2.612 6.755
1.833 2.612 6.755
0.000 1.726 8.666
0.000 7.185 0.739
1.686 6.548 2.938
2.253 1.386 10.594
-2.230 5.162 5.534
2.230 5.162 5.534
0.000 6.610 4.962
-1.833 3.815 9.170
1.833 3.815 9.170
```

Principal peaks in the range 15 to 90 degrees two-theta, by angle:
22.57°, I 65; 26.55°, I 100; 28.50°, I 56; 29.04°, I 97; 29.93°, I 95; 32.62°, I 43; 35.12°, I 53; 53.21°, I 91

2.
Theoretical XRD peak list of KHg2Mo2O7 for λ = 1.5418 Å (Cu Kα), from the GGA+U geometry in Alexandria.

Structure:
```
KHg2Mo2O7
1.0
2.939 1.697 8.550
-2.939 1.697 8.550
0.000 -3.393 8.550
K Hg Mo O
1 2 2 7
Cartesian
0.000 0.000 0.000
0.000 0.000 4.812
0.000 0.000 20.838
0.000 0.000 10.899
0.000 0.000 14.751
-0.891 -1.409 10.317
-0.775 -1.476 15.333
-0.775 1.476 10.317
0.000 0.000 12.825
-0.891 1.409 15.333
1.666 -0.067 10.317
1.666 0.067 15.333
```

Principal peaks in the range 15 to 90 degrees two-theta, by angle:
24.64°, I 100; 30.42°, I 73; 32.21°, I 50; 33.02°, I 38; 39.53°, I 24; 50.68°, I 25; 54.05°, I 19; 55.72°, I 18